Starting from a DFT-relaxed cell (PBE, Alexandria), the powder XRD pattern of TmCoSi2Os was calculated for a wavelength of 1.5418 Å.
Intensities are scaled so that the largest is 100.

Principal peaks in the range 2θ = 10–90°, low angle first:
d/Å, I/Imax
3.706, 52.9
2.518, 37.0
2.448, 100.0
2.426, 18.2
2.005, 35.9
1.764, 14.3
1.569, 17.7
1.546, 18.2
1.405, 17.7
1.227, 22.4

Structure:
Cell: 4.010 4.010 9.705 Å, 90.00 90.00 90.00°
Fractional coordinates of all 10 atoms:
Tm 0.000 0.000 0.000
Tm 0.500 0.500 0.500
Co 0.000 0.500 0.250
Co 0.500 0.000 0.750
Si 0.000 0.000 0.374
Si 0.000 0.000 0.626
Si 0.500 0.500 0.126
Si 0.500 0.500 0.874
Os 0.000 0.500 0.750
Os 0.500 0.000 0.250


Starting from a DFT-relaxed cell (PBE, Alexandria), the powder XRD pattern of YCoSi3Os was calculated for a wavelength of 1.5418 Å.
Intensities are scaled so that the largest is 100.

Principal peaks in the range 2θ = 10–90°, low angle first:
d/Å, I/Imax
6.128, 55.7
5.645, 21.9
3.648, 58.5
2.830, 100.0
2.656, 30.0
2.493, 18.7
2.147, 51.1
2.058, 21.5
1.906, 30.5
1.565, 16.0

Structure:
Cell: 6.721 6.721 5.312 Å, 90.00 90.00 114.26°
Fractional coordinates of all 12 atoms:
Y 0.215 0.785 0.750
Y 0.785 0.215 0.250
Co 0.452 0.548 0.250
Co 0.548 0.452 0.750
Si 0.258 0.258 0.000
Si 0.258 0.258 0.500
Si 0.271 0.729 0.250
Si 0.729 0.271 0.750
Si 0.742 0.742 0.000
Si 0.742 0.742 0.500
Os 0.073 0.927 0.250
Os 0.927 0.073 0.750


Starting from a DFT-relaxed cell (PBE, Alexandria), the powder XRD pattern of TaCoOs2 was calculated for a wavelength of 1.5418 Å.
Intensities are scaled so that the largest is 100.

Principal peaks in the range 2θ = 10–90°, low angle first:
d/Å, I/Imax
3.837, 3.7
3.447, 13.1
2.223, 100.0
1.929, 32.7
1.918, 16.1
1.364, 10.5
1.360, 20.9
1.163, 25.6
1.158, 12.6
1.112, 11.4

Structure:
Cell: 3.858 3.858 7.673 Å, 90.00 90.00 90.00°
Fractional coordinates of all 8 atoms:
Ta 0.000 0.000 0.000
Ta 0.500 0.500 0.500
Co 0.000 0.500 0.750
Co 0.500 0.000 0.250
Os 0.000 0.000 0.500
Os 0.000 0.500 0.250
Os 0.500 0.000 0.750
Os 0.500 0.500 0.000


Starting from a DFT-relaxed cell (PBE, Alexandria), the powder XRD pattern of Tb2Co2Os was calculated for a wavelength of 1.5418 Å.
Intensities are scaled so that the largest is 100.

Principal peaks in the range 2θ = 10–90°, low angle first:
d/Å, I/Imax
3.116, 32.2
2.599, 47.4
2.588, 37.1
2.565, 45.3
2.551, 100.0
2.349, 43.2
2.339, 58.2
2.299, 40.7
2.135, 46.6
1.835, 34.7

Structure:
Cell: 5.234 5.234 7.802 Å, 100.88 100.88 62.30°
Fractional coordinates of all 10 atoms:
Tb 0.034 0.269 0.154
Tb 0.269 0.034 0.654
Tb 0.731 0.966 0.346
Tb 0.966 0.731 0.846
Co 0.261 0.499 0.498
Co 0.499 0.261 0.998
Co 0.501 0.739 0.002
Co 0.739 0.501 0.502
Os 0.376 0.624 0.250
Os 0.624 0.376 0.750


Starting from a DFT-relaxed cell (PBE, Alexandria), the powder XRD pattern of Ti6Co2Os was calculated for a wavelength of 1.5418 Å.
Intensities are scaled so that the largest is 100.

Principal peaks in the range 2θ = 10–90°, low angle first:
d/Å, I/Imax
5.770, 24.4
4.115, 64.0
4.047, 25.4
3.351, 33.2
2.363, 81.3
2.197, 36.8
2.176, 100.0
2.057, 47.3
1.939, 29.6
1.330, 25.3

Structure:
Cell: 7.089 7.089 7.089 Å, 110.38 109.06 108.98°
Fractional coordinates of all 18 atoms:
Ti 0.044 0.825 0.219
Ti 0.242 0.544 0.302
Ti 0.242 0.940 0.698
Ti 0.285 0.316 0.601
Ti 0.285 0.684 0.969
Ti 0.394 0.175 0.219
Ti 0.606 0.825 0.781
Ti 0.715 0.316 0.031
Ti 0.715 0.684 0.399
Ti 0.758 0.060 0.302
Ti 0.758 0.456 0.698
Ti 0.956 0.175 0.781
Co 0.000 0.146 0.146
Co 0.000 0.854 0.854
Co 0.355 0.355 0.000
Co 0.645 0.645 0.000
Os 0.000 0.500 0.500
Os 0.500 0.000 0.500


Starting from a DFT-relaxed cell (PBE, Alexandria), the powder XRD pattern of CoOsW4 was calculated for a wavelength of 1.5418 Å.
Intensities are scaled so that the largest is 100.

Principal peaks in the range 2θ = 10–90°, low angle first:
d/Å, I/Imax
4.211, 25.3
2.579, 16.4
2.199, 100.0
2.106, 53.5
1.823, 11.0
1.673, 6.6
1.404, 32.3
1.289, 29.0
1.112, 11.8
1.100, 21.4

Structure:
Cell: 5.158 5.158 5.158 Å, 60.00 60.00 60.00°
Fractional coordinates of all 6 atoms:
Co 0.000 0.000 0.000
Os 0.750 0.750 0.750
W 0.374 0.374 0.374
W 0.374 0.374 0.877
W 0.374 0.877 0.374
W 0.877 0.374 0.374


Starting from a DFT-relaxed cell (PBE, Alexandria), the powder XRD pattern of Y8Co2Os was calculated for a wavelength of 1.5418 Å.
Intensities are scaled so that the largest is 100.

Principal peaks in the range 2θ = 10–90°, low angle first:
d/Å, I/Imax
5.021, 44.9
2.882, 57.8
2.812, 72.9
2.724, 100.0
2.632, 83.1
2.586, 59.2
2.511, 51.9
2.421, 79.0
2.260, 85.3
2.189, 45.4

Structure:
Cell: 7.426 7.426 6.001 Å, 100.04 100.04 113.32°
Fractional coordinates of all 11 atoms:
Y 0.000 0.000 0.000
Y 0.026 0.286 0.583
Y 0.144 0.572 0.184
Y 0.286 0.026 0.583
Y 0.438 0.701 0.770
Y 0.572 0.144 0.184
Y 0.701 0.438 0.770
Y 0.716 0.716 0.367
Co 0.052 0.675 0.681
Co 0.675 0.052 0.681
Os 0.354 0.354 0.344


Starting from a DFT-relaxed cell (PBE, Alexandria), the powder XRD pattern of YCo2Os2 was calculated for a wavelength of 1.5418 Å.
Intensities are scaled so that the largest is 100.

Principal peaks in the range 2θ = 10–90°, low angle first:
d/Å, I/Imax
3.774, 92.8
2.879, 78.7
2.589, 100.0
2.499, 60.2
2.036, 88.7
1.894, 65.9
1.804, 60.6
1.600, 46.5
1.439, 28.6
1.350, 46.6

Structure:
Cell: 4.071 4.071 10.064 Å, 90.00 90.00 90.00°
Fractional coordinates of all 10 atoms:
Y 0.000 0.000 0.000
Y 0.500 0.500 0.500
Co 0.000 0.500 0.250
Co 0.000 0.500 0.750
Co 0.500 0.000 0.250
Co 0.500 0.000 0.750
Os 0.000 0.000 0.383
Os 0.000 0.000 0.617
Os 0.500 0.500 0.117
Os 0.500 0.500 0.883


Starting from a DFT-relaxed cell (PBE, Alexandria), the powder XRD pattern of ZrCoOs was calculated for a wavelength of 1.5418 Å.
Intensities are scaled so that the largest is 100.

Principal peaks in the range 2θ = 10–90°, low angle first:
d/Å, I/Imax
4.401, 49.5
4.102, 42.3
3.623, 33.3
2.618, 57.1
2.411, 31.8
2.258, 54.6
2.201, 100.0
2.161, 70.3
2.134, 35.1
2.081, 61.8

Structure:
Cell: 8.643 5.084 4.637 Å, 90.00 108.35 90.00°
Fractional coordinates of all 12 atoms:
Zr 0.000 0.000 0.000
Zr 0.124 0.500 0.720
Zr 0.500 0.500 0.000
Zr 0.624 0.000 0.720
Co 0.090 0.000 0.535
Co 0.339 0.000 0.919
Co 0.590 0.500 0.535
Co 0.839 0.500 0.919
Os 0.320 0.249 0.388
Os 0.320 0.751 0.388
Os 0.820 0.251 0.388
Os 0.820 0.749 0.388


Starting from a DFT-relaxed cell (PBE, Alexandria), the powder XRD pattern of Zr6CoOs was calculated for a wavelength of 1.5418 Å.
Intensities are scaled so that the largest is 100.

Principal peaks in the range 2θ = 10–90°, low angle first:
d/Å, I/Imax
7.511, 12.4
4.422, 11.1
2.467, 100.0
2.313, 45.4
1.988, 7.6
1.878, 8.2
1.636, 15.2
1.458, 14.1
1.363, 29.6
1.233, 8.0

Structure:
Cell: 4.627 4.627 15.022 Å, 90.00 90.00 90.00°
Fractional coordinates of all 16 atoms:
Zr 0.000 0.000 0.250
Zr 0.000 0.000 0.750
Zr 0.000 0.500 0.107
Zr 0.000 0.500 0.393
Zr 0.000 0.500 0.607
Zr 0.000 0.500 0.893
Zr 0.500 0.000 0.107
Zr 0.500 0.000 0.393
Zr 0.500 0.000 0.607
Zr 0.500 0.000 0.893
Zr 0.500 0.500 0.250
Zr 0.500 0.500 0.750
Co 0.000 0.000 0.000
Co 0.500 0.500 0.500
Os 0.000 0.000 0.500
Os 0.500 0.500 0.000


Starting from a DFT-relaxed cell (PBE, Alexandria), the powder XRD pattern of Zr2Co3Os was calculated for a wavelength of 1.5418 Å.
Intensities are scaled so that the largest is 100.

Principal peaks in the range 2θ = 10–90°, low angle first:
d/Å, I/Imax
4.060, 25.7
3.526, 21.1
2.483, 52.8
2.138, 51.7
2.124, 100.0
2.030, 42.1
1.357, 23.3
1.353, 22.7
1.252, 18.4
1.241, 17.9

Structure:
Cell: 5.008 5.008 5.008 Å, 59.43 59.43 59.43°
Fractional coordinates of all 6 atoms:
Zr 0.125 0.125 0.125
Zr 0.875 0.875 0.875
Co 0.000 0.500 0.500
Co 0.500 0.000 0.500
Co 0.500 0.500 0.000
Os 0.500 0.500 0.500


Starting from a DFT-relaxed cell (PBE, Alexandria), the powder XRD pattern of Co3P was calculated for a wavelength of 1.5418 Å.
Intensities are scaled so that the largest is 100.

Principal peaks in the range 2θ = 10–90°, low angle first:
d/Å, I/Imax
2.451, 17.2
2.145, 100.0
2.092, 26.2
2.066, 52.6
1.984, 33.4
1.931, 83.8
1.795, 18.8
1.740, 21.3
1.725, 30.4
1.255, 19.2

Structure:
Cell: 6.645 6.645 6.645 Å, 96.22 96.22 141.55°
Fractional coordinates of all 16 atoms:
Co 0.062 0.374 0.474
Co 0.085 0.188 0.830
Co 0.217 0.667 0.886
Co 0.333 0.219 0.550
Co 0.358 0.255 0.170
Co 0.412 0.938 0.313
Co 0.626 0.100 0.687
Co 0.669 0.783 0.450
Co 0.745 0.915 0.104
Co 0.781 0.331 0.114
Co 0.812 0.642 0.896
Co 0.900 0.588 0.526
P 0.220 0.476 0.162
P 0.315 0.059 0.838
P 0.524 0.685 0.744
P 0.941 0.780 0.256